For Ba8Si43Au3, the PBE geometry in the Materials Project gives the calculated powder XRD pattern in this record (λ = 1.5418 Å (Cu Kα)).

Atomic structure:
```
54
Lattice="7.3940 4.2689 6.0354 -7.3940 4.2689 6.0354 0.0000 -8.5378 6.0354" Properties=species:S:1:pos:R:3 pbc="T T T"
Ba -1.7625 -5.4851 6.0354
Ba -3.8690 4.2689 6.0354
Ba -3.8642 0.0000 9.0532
Ba 0.0000 0.0000 4.4952
Ba 1.9321 -3.3465 9.0531
Ba 0.0000 0.0000 13.6111
Ba 1.9321 3.3465 9.0531
Ba 5.6315 1.2162 6.0354
Si -6.0315 -2.4545 10.0820
Si -4.2550 -3.4681 8.6451
Si -0.0106 -3.1551 3.4335
Si 0.0000 0.0000 1.2048
Si -2.7271 1.5868 3.4335
Si -2.7255 -1.5776 5.6790
Si -6.0315 2.4545 8.0243
Si -3.1186 0.7906 5.6788
Si -1.8641 -3.2287 9.0532
Si 0.8901 -6.4507 8.0243
Si 0.8746 -3.0961 5.6788
Si -0.8760 -5.4190 9.4612
Si -0.8614 -2.1068 7.1159
Si -1.3938 1.7994 7.1159
Si -4.2550 3.4681 9.4612
Si 0.0000 0.0000 7.8816
Si 2.7377 1.5683 3.4335
Si -0.0035 3.1491 5.6790
Si 2.7290 -1.5716 5.6790
Si -1.3938 -1.7993 10.9904
Si -3.1186 -0.7906 12.4275
Si -1.8641 3.2287 9.0531
Si 2.2440 2.3055 5.6787
Si 2.2552 0.3074 7.1159
Si -0.0035 -3.1491 12.4273
Si -2.7255 1.5776 12.4273
Si -2.7271 -1.5868 14.6727
Si 0.0000 0.0000 10.2247
Si -0.8760 5.4190 8.6451
Si -0.8614 2.1068 10.9904
Si 2.2552 -0.3074 10.9904
Si 5.1414 -3.9962 10.0820
Si 5.1310 -1.9509 8.6451
Si 2.2440 -2.3055 12.4275
Si 3.7282 0.0000 9.0531
Si 0.8746 3.0961 12.4275
Si 0.8901 6.4507 10.0820
Si 2.7290 1.5716 12.4273
Si 0.0000 0.0000 16.9015
Si -0.0106 3.1551 14.6728
Si 2.7377 -1.5683 14.6728
Si 5.1310 1.9509 9.4612
Si 5.1414 3.9962 8.0243
Au -5.5479 1.0714 6.0354
Au 1.8461 -5.3403 6.0354
Au 3.7018 4.2689 6.0354
```

Peak list (8 most intense, 2θ from 5° to 70°, by intensity)
2θ 32.03, I = 100.0; 2θ 20.81, I = 42.1; 2θ 29.60, I = 39.5; 2θ 54.07, I = 37.1; 2θ 34.31, I = 31.2; 2θ 11.97, I = 18.8; 2θ 65.62, I = 16.5; 2θ 49.30, I = 16.2